Record 1
Starting from a GGA-PBE-relaxed structure, the XRD peak list of NdNiC was computed for a wavelength of 1.5418 Å.

Most intense lines, 5 to 70 degrees two-theta, by intensity:
- 2θ 32.54, d 2.752, rel. 100, hkl 1 1 1
- 2θ 38.60, d 2.333, rel. 87, hkl 1 3 1
- 2θ 29.32, d 3.047, rel. 48, hkl 1 3 0
- 2θ 28.71, d 3.109, rel. 47, hkl 0 4 0
- 2θ 40.15, d 2.246, rel. 33, hkl 2 0 0
- 2θ 28.49, d 3.133, rel. 24, hkl 0 2 1
- 2θ 50.10, d 1.821, rel. 24, hkl 2 4 0
- 2θ 50.73, d 1.800, rel. 21, hkl 0 6 1
- 2θ 66.59, d 1.404, rel. 21, hkl 2 6 1
- 2θ 50.33, d 1.813, rel. 19, hkl 0 0 2

Atomic structure:
Cell lengths 4.492, 12.438, 3.626 Å; angles 90.00, 90.00, 90.00 degrees
Space group Cmmm (No. 65)
Inequivalent atoms, fractional coordinates:
Nd: 0.000 0.149 0.000 (multiplicity 4)
Ni: 0.000 0.404 0.500 (multiplicity 4)
C: 0.153 0.000 0.500 (multiplicity 4)


Record 2
Starting from a GGA-PBE-relaxed structure, the XRD peak list of Ca2WN was computed for a wavelength of 1.5418 Å.

Most intense lines, 5 to 70 degrees two-theta, by intensity:
- 2θ 18.03, d 4.919, rel. 100, hkl 2 0 0
- 2θ 30.45, d 2.936, rel. 92, hkl 2 1 1
- 2θ 41.03, d 2.200, rel. 44, hkl 4 2 0
- 2θ 25.61, d 3.478, rel. 30, hkl 2 2 0
- 2θ 40.20, d 2.243, rel. 28, hkl 3 2 1
- 2θ 36.54, d 2.459, rel. 27, hkl 4 0 0
- 2θ 55.17, d 1.665, rel. 26, hkl 3 1 2
- 2θ 51.94, d 1.760, rel. 22, hkl 5 0 1
- 2θ 47.98, d 1.896, rel. 20, hkl 1 1 2
- 2θ 24.33, d 3.659, rel. 19, hkl 1 0 1

Atomic structure:
Cell lengths 9.837, 9.837, 3.942 Å; angles 90.00, 90.00, 90.00 degrees
Space group I-42d (No. 122)
Inequivalent atoms, fractional coordinates:
Ca: 0.078 0.750 0.125 (multiplicity 8)
W: 0.000 0.000 0.500 (multiplicity 4)
N: 0.000 0.000 0.000 (multiplicity 4)


Record 3
Starting from a GGA-PBE-relaxed structure, the XRD peak list of TbHo6Sc6 was computed for a wavelength of 1.5418 Å.

Most intense lines, 5 to 70 degrees two-theta, by intensity:
- 2θ 28.47, d 3.135, rel. 100, hkl 1 3 0
- 2θ 26.71, d 3.337, rel. 81, hkl 2 0 0
- 2θ 30.33, d 2.947, rel. 74, hkl 0 2 3
- 2θ 31.67, d 2.826, rel. 66, hkl 2 0 2
- 2θ 35.99, d 2.496, rel. 57, hkl 2 2 2
- 2θ 33.19, d 2.699, rel. 56, hkl 1 3 2
- 2θ 40.85, d 2.209, rel. 43, hkl 2 2 3
- 2θ 38.37, d 2.346, rel. 34, hkl 1 3 3
- 2θ 16.71, d 5.307, rel. 33, hkl 0 0 2
- 2θ 60.05, d 1.541, rel. 31, hkl 1 3 6

Atomic structure:
Cell lengths 6.674, 10.651, 10.614 Å; angles 90.00, 90.00, 90.00 degrees
Space group Cmmm (No. 65)
Inequivalent atoms, fractional coordinates:
Tb: 0.000 0.000 0.000 (multiplicity 2)
Ho: 0.000 0.000 0.334 (multiplicity 4)
Ho: 0.000 0.283 0.500 (multiplicity 4)
Ho: 0.000 0.352 0.000 (multiplicity 4)
Sc: 0.000 0.500 0.288 (multiplicity 4)
Sc: 0.250 0.250 0.227 (multiplicity 8)